1.
Starting from DFT lattice parameters and positions (GGA-PBE), the powder X-ray diffraction pattern of CuBi4Pt was computed for λ = 1.5418 Å (Cu Kα).

Principal peaks in the range 2θ = 15–90°, low angle first:
| d [Å] | 2θ (°) | I/Imax |
| --- | --- | --- |
| 2.993 | 29.85 | 100 |
| 2.681 | 33.42 | 42 |
| 2.499 | 35.93 | 62 |
| 2.348 | 38.33 | 64 |
| 2.176 | 41.50 | 49 |
| 1.448 | 64.34 | 36 |

Atomic structure:
```
CuBi4Pt
1.0
-3.441 3.441 6.425
3.441 -3.441 6.425
3.441 3.441 -6.425
Cu Bi Pt
2 8 2
direct
0.250 0.250 0.000 Cu
0.750 0.750 0.000 Cu
0.043 0.543 0.836 Bi
0.207 0.043 0.500 Bi
0.293 0.793 0.836 Bi
0.457 0.293 0.500 Bi
0.543 0.707 0.500 Bi
0.707 0.207 0.164 Bi
0.793 0.957 0.500 Bi
0.957 0.457 0.164 Bi
0.000 0.000 0.000 Pt
0.500 0.500 0.000 Pt
```

---

2.
Starting from DFT lattice parameters and positions (GGA-PBE), the powder X-ray diffraction pattern of Pu2GePd6 was computed for λ = 1.5418 Å (Cu Kα).

Principal peaks in the range 2θ = 15–90°, low angle first:
| d [Å] | 2θ (°) | I/Imax |
| --- | --- | --- |
| 2.937 | 30.43 | 19 |
| 2.570 | 34.91 | 26 |
| 2.526 | 35.54 | 43 |
| 2.475 | 36.30 | 19 |
| 2.281 | 39.51 | 100 |
| 1.429 | 65.30 | 20 |

Atomic structure:
```
Pu2GePd6
1.0
5.716 0.000 0.000
-2.858 4.950 0.000
0.000 0.000 5.875
Pu Ge Pd
2 1 6
direct
0.333 0.667 0.329 Pu
0.667 0.333 0.671 Pu
0.000 0.000 0.500 Ge
0.173 0.345 0.810 Pd
0.173 0.827 0.810 Pd
0.345 0.173 0.190 Pd
0.655 0.827 0.810 Pd
0.827 0.173 0.190 Pd
0.827 0.655 0.190 Pd
```

---

3.
Starting from DFT lattice parameters and positions (GGA-PBE), the powder X-ray diffraction pattern of CsTaMn3 was computed for λ = 1.5418 Å (Cu Kα).

Principal peaks in the range 2θ = 15–90°, low angle first:
| d [Å] | 2θ (°) | I/Imax |
| --- | --- | --- |
| 3.395 | 26.25 | 100 |
| 2.772 | 32.29 | 30 |
| 2.401 | 37.46 | 71 |
| 1.960 | 46.32 | 44 |
| 1.698 | 54.01 | 48 |
| 1.283 | 73.84 | 23 |

Atomic structure:
```
CsTaMn3
1.0
4.802 0.000 0.000
0.000 4.802 0.000
0.000 0.000 4.802
Cs Ta Mn
1 1 3
direct
0.000 0.000 0.000 Cs
0.500 0.500 0.500 Ta
0.000 0.000 0.500 Mn
0.000 0.500 0.000 Mn
0.500 0.000 0.000 Mn
```

---

4.
Starting from DFT lattice parameters and positions (GGA-PBE), the powder X-ray diffraction pattern of Rb3Ca2Cl3F4 was computed for λ = 1.5418 Å (Cu Kα).

Principal peaks in the range 2θ = 15–90°, low angle first:
| d [Å] | 2θ (°) | I/Imax |
| --- | --- | --- |
| 3.718 | 23.93 | 60 |
| 3.459 | 25.76 | 100 |
| 3.358 | 26.54 | 85 |
| 3.038 | 29.40 | 52 |
| 2.726 | 32.85 | 79 |
| 2.679 | 33.45 | 66 |

Atomic structure:
```
Rb3Ca2Cl3F4
1.0
-2.237 2.726 12.707
2.237 -2.726 12.707
2.237 2.726 -12.707
Rb Ca Cl F
3 2 3 4
direct
0.000 0.000 0.000 Rb
0.195 0.195 0.000 Rb
0.805 0.805 0.000 Rb
0.387 0.387 0.000 Ca
0.613 0.613 0.000 Ca
0.102 0.602 0.500 Cl
0.500 0.500 0.000 Cl
0.898 0.398 0.500 Cl
0.300 0.300 0.000 F
0.383 0.883 0.500 F
0.617 0.117 0.500 F
0.700 0.700 0.000 F
```

---

5.
Starting from DFT lattice parameters and positions (GGA-PBE), the powder X-ray diffraction pattern of TbCu5Hg was computed for λ = 1.5418 Å (Cu Kα).

Principal peaks in the range 2θ = 15–90°, low angle first:
| d [Å] | 2θ (°) | I/Imax |
| --- | --- | --- |
| 2.878 | 31.08 | 29 |
| 2.517 | 35.67 | 30 |
| 2.362 | 38.10 | 100 |
| 2.032 | 44.58 | 51 |
| 1.986 | 45.69 | 31 |
| 1.339 | 70.31 | 30 |

Atomic structure:
```
TbCu5Hg
1.0
8.290 0.000 0.000
0.000 5.034 0.000
0.000 0.000 10.522
Tb Cu Hg
4 20 4
direct
0.246 0.250 0.066 Tb
0.254 0.750 0.566 Tb
0.746 0.250 0.434 Tb
0.754 0.750 0.934 Tb
0.054 0.750 0.109 Cu
0.069 0.001 0.314 Cu
0.069 0.499 0.314 Cu
0.081 0.250 0.516 Cu
0.186 0.250 0.740 Cu
0.314 0.750 0.240 Cu
0.419 0.750 0.016 Cu
0.431 0.501 0.814 Cu
0.431 0.999 0.814 Cu
0.446 0.250 0.609 Cu
0.554 0.750 0.391 Cu
0.569 0.001 0.186 Cu
0.569 0.499 0.186 Cu
0.581 0.250 0.984 Cu
0.686 0.250 0.760 Cu
0.814 0.750 0.260 Cu
0.919 0.750 0.484 Cu
0.931 0.501 0.686 Cu
0.931 0.999 0.686 Cu
0.946 0.250 0.891 Cu
0.135 0.750 0.865 Hg
0.365 0.250 0.365 Hg
0.635 0.750 0.635 Hg
0.865 0.250 0.135 Hg
```

---

6.
Starting from DFT lattice parameters and positions (GGA-PBE), the powder X-ray diffraction pattern of Pm10NdEr6 was computed for λ = 1.5418 Å (Cu Kα).

Principal peaks in the range 2θ = 15–90°, low angle first:
| d [Å] | 2θ (°) | I/Imax |
| --- | --- | --- |
| 2.907 | 30.75 | 39 |
| 2.829 | 31.63 | 81 |
| 2.816 | 31.78 | 100 |
| 1.996 | 45.45 | 26 |
| 1.631 | 56.40 | 26 |
| 1.623 | 56.71 | 19 |

Atomic structure:
```
Pm10NdEr6
1.0
9.800 0.000 0.000
-4.900 8.487 0.000
0.000 0.000 6.882
Pm Nd Er
10 1 6
direct
0.000 0.278 0.319 Pm
0.000 0.722 0.681 Pm
0.278 0.000 0.319 Pm
0.278 0.278 0.681 Pm
0.333 0.667 0.000 Pm
0.333 0.667 0.500 Pm
0.667 0.333 0.000 Pm
0.667 0.333 0.500 Pm
0.722 0.000 0.681 Pm
0.722 0.722 0.319 Pm
0.000 0.000 0.000 Nd
0.000 0.371 0.810 Er
0.000 0.629 0.190 Er
0.371 0.000 0.810 Er
0.371 0.371 0.190 Er
0.629 0.000 0.190 Er
0.629 0.629 0.810 Er
```